# 1
Starting from DFT lattice parameters and positions (GGA-PBE), the X-ray powder pattern of Tb2ThZn2In2 was computed for Cu Ka.

Structure:
abc: 9.9372 9.9372 9.9372
angles: 27.22 27.22 27.22
Element x y z (fractional)
1 Tb 0.1284 0.1284 0.1284
2 Tb 0.8716 0.8716 0.8716
3 Th 0.0000 0.0000 0.0000
4 Zn 0.3943 0.3943 0.3943
5 Zn 0.6057 0.6057 0.6057
6 In 0.2587 0.2587 0.2587
7 In 0.7413 0.7413 0.7413

Largest 10 diffraction maxima, by angle, 10 to 80 degrees two-theta:
| 2θ/deg | Rel. int. |
| --- | --- |
| 22.2 | 40 |
| 31.0 | 58 |
| 33.4 | 100 |
| 38.5 | 84 |
| 50.3 | 15 |
| 51.9 | 29 |
| 62.8 | 30 |
| 65.0 | 14 |
| 66.4 | 27 |
| 69.7 | 15 |

# 2
Starting from DFT lattice parameters and positions (GGA-PBE), the X-ray powder pattern of BaY3Cl11 was computed for Cu Ka.

Structure:
abc: 10.3538 5.3442 19.2611
angles: 90.00 90.00 90.00
Element x y z (fractional)
1 Ba 0.2500 0.0000 0.0192
2 Ba 0.7500 0.0000 0.9808
3 Y 0.0000 0.0000 0.5000
4 Y 0.0016 0.0000 0.7662
5 Y 0.4984 0.0000 0.7662
6 Y 0.5000 0.0000 0.5000
7 Y 0.5016 0.0000 0.2338
8 Y 0.9984 0.0000 0.2338
9 Cl 0.0000 0.5000 0.5000
10 Cl 0.0066 0.5000 0.7632
11 Cl 0.0391 0.0000 0.9017
12 Cl 0.0659 0.0000 0.3670
13 Cl 0.2500 0.0000 0.2028
14 Cl 0.2500 0.0000 0.5344
15 Cl 0.2500 0.0000 0.7347
16 Cl 0.2500 0.5000 0.0752
17 Cl 0.4341 0.0000 0.3670
18 Cl 0.4609 0.0000 0.9017
19 Cl 0.4934 0.5000 0.7632
20 Cl 0.5000 0.5000 0.5000
21 Cl 0.5066 0.5000 0.2368
22 Cl 0.5391 0.0000 0.0983
23 Cl 0.5659 0.0000 0.6330
24 Cl 0.7500 0.0000 0.2653
25 Cl 0.7500 0.0000 0.4656
26 Cl 0.7500 0.0000 0.7972
27 Cl 0.7500 0.5000 0.9248
28 Cl 0.9341 0.0000 0.6330
29 Cl 0.9609 0.0000 0.0983
30 Cl 0.9934 0.5000 0.2368

Largest 10 diffraction maxima, by angle, 10 to 80 degrees two-theta:
| 2θ/deg | Rel. int. |
| --- | --- |
| 16.6 | 100 |
| 17.7 | 30 |
| 18.4 | 49 |
| 19.5 | 25 |
| 22.1 | 25 |
| 33.5 | 48 |
| 34.7 | 27 |
| 37.0 | 22 |
| 39.5 | 21 |
| 49.0 | 19 |

# 3
Starting from DFT lattice parameters and positions (GGA-PBE), the X-ray powder pattern of Pm2AsI3 was computed for Cu Ka.

Structure:
abc: 9.4136 9.4136 12.8921
angles: 119.83 119.83 28.57
Element x y z (fractional)
1 Pm 0.0970 0.0970 0.4481
2 Pm 0.3587 0.3587 0.1908
3 Pm 0.6413 0.6413 0.8092
4 Pm 0.9030 0.9030 0.5519
5 As 0.0847 0.0847 0.6612
6 As 0.9153 0.9153 0.3388
7 I 0.1570 0.1570 0.0115
8 I 0.2682 0.2682 0.3873
9 I 0.4478 0.4478 0.7531
10 I 0.5522 0.5522 0.2469
11 I 0.7318 0.7318 0.6127
12 I 0.8430 0.8430 0.9885

Largest 10 diffraction maxima, by angle, 10 to 80 degrees two-theta:
| 2θ/deg | Rel. int. |
| --- | --- |
| 14.1 | 44 |
| 22.6 | 50 |
| 23.7 | 51 |
| 27.5 | 65 |
| 28.4 | 41 |
| 29.1 | 47 |
| 30.9 | 51 |
| 31.2 | 32 |
| 33.9 | 54 |
| 38.8 | 100 |